This entry pairs a crystal structure of CaTi4O8 with its calculated PXRD pattern. Radiation: λ = 1.5418 Å (Cu Kα). Structure: a PBE-relaxed structure.

Structural model:
Unit cell a=6.6389 b=6.6389 c=6.6389 alpha=53.15 beta=53.15 gamma=53.15
Element x y z (fractional)
Ca  0.0000  0.0000  0.0000
Ti  0.0000  0.0000  0.5000
Ti  0.0000  0.5000  0.0000
Ti  0.5000  0.0000  0.0000
Ti  0.5000  0.5000  0.5000
O  0.2231  0.7348  0.7348
O  0.2248  0.2248  0.2248
O  0.2652  0.2652  0.7769
O  0.2652  0.7769  0.2652
O  0.7348  0.2231  0.7348
O  0.7348  0.7348  0.2231
O  0.7752  0.7752  0.7752
O  0.7769  0.2652  0.2652

The 6 most intense peaks (10° ≤ 2θ ≤ 80°), in order of rising 2θ:
2theta  I_rel
15.6  100
35.3  15
41.0  67
51.7  17
56.0  18
62.6  17